Record 1
# Mo3H24C8S13N2
Computed powder X-ray diffraction pattern, Cu Kα. Input: DFT lattice parameters and positions (PBE).

Main lines, by angle (10° ≤ 2θ ≤ 90°):
2θ/deg, Rel. int.
12.7, 46
15.7, 100
15.9, 14
20.4, 11
34.6, 15
35.9, 13
41.4, 11
42.5, 15
42.8, 20
48.6, 19

Structural model:
Unit cell a=11.167 b=11.167 c=6.972 alpha=90.00 beta=90.00 gamma=120.00
Positions (direct):
Mo1 0.000 0.142 0.000
Mo2 0.142 0.000 0.000
Mo3 0.858 0.858 0.000
H1 0.116 0.568 0.463
H2 0.203 0.754 0.472
H3 0.206 0.657 0.678
H4 0.243 0.570 0.183
H5 0.246 0.450 0.472
H6 0.328 0.757 0.183
H7 0.343 0.550 0.678
H8 0.430 0.672 0.183
H9 0.432 0.548 0.463
H10 0.450 0.246 0.472
H11 0.450 0.794 0.678
H12 0.452 0.884 0.463
H13 0.548 0.432 0.463
H14 0.550 0.343 0.678
H15 0.550 0.797 0.472
H16 0.568 0.116 0.463
H17 0.570 0.243 0.183
H18 0.657 0.206 0.678
H19 0.672 0.430 0.183
H20 0.754 0.203 0.472
H21 0.757 0.328 0.183
H22 0.794 0.450 0.678
H23 0.797 0.550 0.472
H24 0.884 0.452 0.463
C1 0.205 0.661 0.521
C2 0.333 0.667 0.231
C3 0.339 0.543 0.521
C4 0.457 0.795 0.521
C5 0.543 0.339 0.521
C6 0.661 0.205 0.521
C7 0.667 0.333 0.231
C8 0.795 0.457 0.521
S1 0.000 0.000 0.255
S2 0.000 0.309 0.220
S3 0.000 0.363 0.936
S4 0.000 0.742 0.019
S5 0.000 0.826 0.760
S6 0.174 0.174 0.760
S7 0.258 0.258 0.019
S8 0.309 0.000 0.220
S9 0.363 0.000 0.936
S10 0.637 0.637 0.936
S11 0.691 0.691 0.220
S12 0.742 0.000 0.019
S13 0.826 0.000 0.760
N1 0.333 0.667 0.447
N2 0.667 0.333 0.447


Record 2
# Tb3Np
Computed powder X-ray diffraction pattern, Cu Kα. Input: DFT lattice parameters and positions (PBE).

Main lines, by angle (10° ≤ 2θ ≤ 90°):
2θ/deg, Rel. int.
29.4, 23
31.8, 26
33.5, 100
43.9, 16
52.2, 19
57.8, 21
62.4, 23
63.5, 16
86.6, 14
89.3, 9

Structural model:
Unit cell a=7.011 b=7.011 c=5.625 alpha=90.00 beta=90.00 gamma=120.00
Positions (direct):
Tb1 0.169 0.338 0.250
Tb2 0.169 0.831 0.250
Tb3 0.338 0.169 0.750
Tb4 0.662 0.831 0.250
Tb5 0.831 0.169 0.750
Tb6 0.831 0.662 0.750
Np1 0.333 0.667 0.750
Np2 0.667 0.333 0.250


Record 3
# Ba2TbSnO6
Computed powder X-ray diffraction pattern, Cu Kα. Input: DFT lattice parameters and positions (PBE).

Main lines, by angle (10° ≤ 2θ ≤ 90°):
2θ/deg, Rel. int.
17.8, 1
20.5, 1
29.2, 100
36.0, 1
41.8, 29
51.8, 42
60.6, 19
68.7, 19
76.3, 6
83.7, 23

Structural model:
Unit cell a=8.646 b=8.646 c=8.646 alpha=90.00 beta=90.00 gamma=90.00
Positions (direct):
Ba1 0.250 0.250 0.250
Ba2 0.250 0.250 0.750
Ba3 0.250 0.750 0.250
Ba4 0.250 0.750 0.750
Ba5 0.750 0.250 0.250
Ba6 0.750 0.250 0.750
Ba7 0.750 0.750 0.250
Ba8 0.750 0.750 0.750
Tb1 0.000 0.000 0.000
Tb2 0.000 0.500 0.500
Tb3 0.500 0.000 0.500
Tb4 0.500 0.500 0.000
Sn1 0.000 0.000 0.500
Sn2 0.000 0.500 0.000
Sn3 0.500 0.000 0.000
Sn4 0.500 0.500 0.500
O1 0.012 0.513 0.760
O2 0.012 0.987 0.740
O3 0.013 0.240 0.512
O4 0.013 0.260 0.988
O5 0.240 0.512 0.013
O6 0.240 0.988 0.487
O7 0.260 0.512 0.487
O8 0.260 0.988 0.013
O9 0.487 0.240 0.988
O10 0.487 0.260 0.512
O11 0.488 0.513 0.740
O12 0.488 0.987 0.760
O13 0.512 0.013 0.240
O14 0.512 0.487 0.260
O15 0.513 0.740 0.488
O16 0.513 0.760 0.012
O17 0.740 0.012 0.987
O18 0.740 0.488 0.513
O19 0.760 0.012 0.513
O20 0.760 0.488 0.987
O21 0.987 0.740 0.012
O22 0.987 0.760 0.488
O23 0.988 0.013 0.260
O24 0.988 0.487 0.240


Record 4
# Dy12Co7
Computed powder X-ray diffraction pattern, Cu Kα. Input: DFT lattice parameters and positions (PBE).

Main lines, by angle (10° ≤ 2θ ≤ 90°):
2θ/deg, Rel. int.
31.6, 59
32.7, 74
33.5, 88
33.6, 67
33.7, 100
33.8, 63
34.2, 96
34.5, 69
37.0, 56
38.3, 56

Structural model:
Unit cell a=8.279 b=11.215 c=11.012 alpha=90.00 beta=125.25 gamma=90.00
Positions (direct):
Dy1 0.002 0.159 0.343
Dy2 0.002 0.341 0.843
Dy3 0.233 0.570 0.805
Dy4 0.233 0.930 0.305
Dy5 0.250 0.200 0.176
Dy6 0.250 0.300 0.676
Dy7 0.266 0.705 0.538
Dy8 0.266 0.795 0.038
Dy9 0.270 0.072 0.914
Dy10 0.270 0.428 0.414
Dy11 0.347 0.505 0.147
Dy12 0.347 0.995 0.647
Dy13 0.653 0.005 0.353
Dy14 0.653 0.495 0.853
Dy15 0.730 0.572 0.586
Dy16 0.730 0.928 0.086
Dy17 0.734 0.205 0.962
Dy18 0.734 0.295 0.462
Dy19 0.750 0.700 0.324
Dy20 0.750 0.800 0.824
Dy21 0.767 0.070 0.695
Dy22 0.767 0.430 0.195
Dy23 0.998 0.659 0.157
Dy24 0.998 0.841 0.657
Co1 0.000 0.000 0.000
Co2 0.000 0.500 0.500
Co3 0.007 0.098 0.599
Co4 0.007 0.402 0.099
Co5 0.403 0.691 0.343
Co6 0.403 0.809 0.843
Co7 0.409 0.173 0.469
Co8 0.409 0.327 0.969
Co9 0.591 0.673 0.031
Co10 0.591 0.827 0.531
Co11 0.597 0.191 0.157
Co12 0.597 0.309 0.657
Co13 0.993 0.598 0.901
Co14 0.993 0.902 0.401


Record 5
# Rb2LiNb2Te2O12
Computed powder X-ray diffraction pattern, Cu Kα. Input: DFT lattice parameters and positions (PBE).

Main lines, by angle (10° ≤ 2θ ≤ 90°):
2θ/deg, Rel. int.
14.3, 81
14.4, 67
27.6, 59
27.8, 89
27.9, 79
28.0, 100
29.1, 47
29.2, 55
29.3, 58
48.6, 51

Structural model:
Unit cell a=7.454 b=7.483 c=7.513 alpha=60.17 beta=61.10 gamma=60.25
Positions (direct):
Rb1 0.000 0.000 0.000
Rb2 0.252 0.207 0.353
Li1 0.358 0.391 0.855
Nb1 0.191 0.644 0.529
Nb2 0.725 0.614 0.053
Te1 0.680 0.125 0.571
Te2 0.680 0.626 0.574
O1 0.004 0.946 0.502
O2 0.025 0.545 0.895
O3 0.363 0.308 0.641
O4 0.372 0.684 0.643
O5 0.375 0.687 0.250
O6 0.617 0.939 0.496
O7 0.631 0.558 0.877
O8 0.638 0.935 0.885
O9 0.735 0.310 0.662
O10 0.745 0.305 0.256
O11 0.749 0.680 0.270
O12 0.991 0.561 0.506


Record 6
# LaCo12B6
Computed powder X-ray diffraction pattern, Cu Kα. Input: DFT lattice parameters and positions (PBE).

Main lines, by angle (10° ≤ 2θ ≤ 90°):
2θ/deg, Rel. int.
31.3, 13
32.5, 39
32.8, 31
41.0, 56
41.6, 100
46.8, 22
49.6, 28
58.6, 24
61.9, 17
83.7, 12

Structural model:
Unit cell a=6.000 b=6.000 c=6.000 alpha=104.03 beta=104.03 gamma=104.03
Positions (direct):
La1 0.000 0.000 0.000
Co1 0.134 0.500 0.866
Co2 0.134 0.866 0.500
Co3 0.187 0.460 0.460
Co4 0.460 0.187 0.460
Co5 0.460 0.460 0.187
Co6 0.500 0.134 0.866
Co7 0.500 0.866 0.134
Co8 0.540 0.540 0.813
Co9 0.540 0.813 0.540
Co10 0.813 0.540 0.540
Co11 0.866 0.134 0.500
Co12 0.866 0.500 0.134
B1 0.230 0.230 0.669
B2 0.230 0.669 0.230
B3 0.331 0.770 0.770
B4 0.669 0.230 0.230
B5 0.770 0.331 0.770
B6 0.770 0.770 0.331


Record 7
# AgSbTe3Pb
Computed powder X-ray diffraction pattern, Cu Kα. Input: DFT lattice parameters and positions (PBE).

Main lines, by angle (10° ≤ 2θ ≤ 90°):
2θ/deg, Rel. int.
28.3, 52
28.5, 100
40.6, 97
40.8, 18
50.2, 21
50.4, 19
58.9, 12
66.4, 27
66.6, 17
73.8, 19

Structural model:
Unit cell a=7.672 b=7.672 c=7.672 alpha=146.27 beta=131.48 gamma=60.40
Positions (direct):
Ag1 0.000 0.000 0.000
Sb1 0.672 0.672 0.000
Te1 0.156 0.656 0.500
Te2 0.513 0.013 0.500
Te3 0.839 0.339 0.500
Pb1 0.328 0.328 0.000


Record 8
# Cr4In2Cu3Se12
Computed powder X-ray diffraction pattern, Cu Kα. Input: DFT lattice parameters and positions (PBE).

Main lines, by angle (10° ≤ 2θ ≤ 90°):
2θ/deg, Rel. int.
14.4, 18
27.4, 28
27.7, 51
29.2, 27
33.4, 50
33.6, 100
47.6, 30
47.7, 60
48.5, 63
48.8, 32

Structural model:
Unit cell a=7.513 b=7.513 c=18.849 alpha=90.00 beta=90.00 gamma=59.54
Positions (direct):
Cr1 0.000 0.500 0.500
Cr2 0.167 0.167 0.834
Cr3 0.167 0.667 0.834
Cr4 0.333 0.833 0.166
Cr5 0.500 0.000 0.500
Cr6 0.667 0.167 0.834
Cr7 0.833 0.333 0.166
Cr8 0.833 0.833 0.166
In1 0.000 0.000 0.000
In2 0.332 0.332 0.667
In3 0.500 0.500 0.500
In4 0.668 0.668 0.333
Cu1 0.002 0.002 0.628
Cu2 0.333 0.333 0.041
Cu3 0.333 0.333 0.291
Cu4 0.667 0.667 0.709
Cu5 0.667 0.667 0.959
Cu6 0.998 0.998 0.372
Se1 0.001 0.001 0.760
Se2 0.010 0.495 0.761
Se3 0.150 0.661 0.579
Se4 0.163 0.163 0.093
Se5 0.163 0.676 0.093
Se6 0.171 0.171 0.574
Se7 0.322 0.322 0.421
Se8 0.324 0.837 0.907
Se9 0.333 0.333 0.908
Se10 0.339 0.850 0.421
Se11 0.495 0.010 0.761
Se12 0.495 0.495 0.760
Se13 0.505 0.505 0.240
Se14 0.505 0.990 0.239
Se15 0.661 0.150 0.579
Se16 0.667 0.667 0.092
Se17 0.676 0.163 0.093
Se18 0.678 0.678 0.579
Se19 0.829 0.829 0.426
Se20 0.837 0.324 0.907
Se21 0.837 0.837 0.907
Se22 0.850 0.339 0.421
Se23 0.990 0.505 0.239
Se24 0.999 0.999 0.240


Record 9
# NaEuO2
Computed powder X-ray diffraction pattern, Cu Kα. Input: DFT lattice parameters and positions (PBE).

Main lines, by angle (10° ≤ 2θ ≤ 90°):
2θ/deg, Rel. int.
20.6, 95
31.6, 100
33.7, 32
38.1, 49
43.6, 27
51.7, 36
54.9, 16
59.0, 17
64.8, 25
66.0, 17

Structural model:
Unit cell a=6.283 b=6.283 c=6.283 alpha=135.80 beta=135.80 gamma=64.29
Positions (direct):
Na1 0.375 0.625 0.750
Na2 0.625 0.375 0.250
Eu1 0.125 0.875 0.250
Eu2 0.875 0.125 0.750
O1 0.095 0.345 0.750
O2 0.345 0.095 0.250
O3 0.655 0.905 0.750
O4 0.905 0.655 0.250


Record 10
# Na2Nd2Ti3O10
Computed powder X-ray diffraction pattern, Cu Kα. Input: DFT lattice parameters and positions (PBE).

Main lines, by angle (10° ≤ 2θ ≤ 90°):
2θ/deg, Rel. int.
12.3, 21
27.9, 39
31.8, 100
32.9, 55
38.0, 22
41.6, 25
47.2, 39
56.1, 23
58.1, 36
66.5, 21

Structural model:
Unit cell a=14.641 b=14.641 c=14.641 alpha=164.89 beta=164.89 gamma=21.44
Positions (direct):
Na1 0.212 0.212 0.000
Na2 0.788 0.788 0.000
Nd1 0.075 0.075 0.000
Nd2 0.925 0.925 0.000
Ti1 0.353 0.353 0.000
Ti2 0.500 0.500 0.000
Ti3 0.647 0.647 0.000
O1 0.000 0.500 0.500
O2 0.132 0.632 0.500
O3 0.292 0.292 0.000
O4 0.368 0.868 0.500
O5 0.433 0.433 0.000
O6 0.500 0.000 0.500
O7 0.567 0.567 0.000
O8 0.632 0.132 0.500
O9 0.708 0.708 0.000
O10 0.868 0.368 0.500


Repeat the sixth record exactly.
# LaCo12B6
Computed powder X-ray diffraction pattern, Cu Kα. Input: DFT lattice parameters and positions (PBE).

Main lines, by angle (10° ≤ 2θ ≤ 90°):
2θ/deg, Rel. int.
31.3, 13
32.5, 39
32.8, 31
41.0, 56
41.6, 100
46.8, 22
49.6, 28
58.6, 24
61.9, 17
83.7, 12

Structural model:
Unit cell a=6.000 b=6.000 c=6.000 alpha=104.03 beta=104.03 gamma=104.03
Positions (direct):
La1 0.000 0.000 0.000
Co1 0.134 0.500 0.866
Co2 0.134 0.866 0.500
Co3 0.187 0.460 0.460
Co4 0.460 0.187 0.460
Co5 0.460 0.460 0.187
Co6 0.500 0.134 0.866
Co7 0.500 0.866 0.134
Co8 0.540 0.540 0.813
Co9 0.540 0.813 0.540
Co10 0.813 0.540 0.540
Co11 0.866 0.134 0.500
Co12 0.866 0.500 0.134
B1 0.230 0.230 0.669
B2 0.230 0.669 0.230
B3 0.331 0.770 0.770
B4 0.669 0.230 0.230
B5 0.770 0.331 0.770
B6 0.770 0.770 0.331